This entry pairs a crystal structure of Fe2AsS3 with its theoretical XRD peak list. Radiation: Cu Kα X-rays. Structure: DFT lattice parameters and positions (PBE).

Structure:
Cell: 4.674 3.320 5.567 Å, 90.00 92.42 90.00°
Space group Pm (No. 6)
Asymmetric unit:
Fe 0.000 0.000 0.000 x1
Fe 0.481 0.500 0.515 x1
As 0.685 0.500 0.143 x1
S 0.198 0.000 0.376 x1
S 0.294 0.500 0.874 x1
S 0.778 0.000 0.638 x1

Main lines, in order of rising 2θ (10 to 90 degrees two-theta):
2θ (°), I (rel.), h k l
25.42, 45, 1 0 1
32.19, 20, 0 0 2
33.10, 100, 1 1 0
36.57, 48, 1 1 -1
36.91, 33, 1 0 -2
37.31, 32, 1 1 1
38.36, 30, 1 0 2
46.23, 28, 1 1 -2
49.94, 47, 2 1 -1
51.10, 51, 2 1 1
55.34, 29, 0 2 0
56.88, 42, 0 1 3

---

This entry pairs a crystal structure of Sr2CeHfO6 with its theoretical XRD peak list. Radiation: Cu Kα X-rays. Structure: DFT lattice parameters and positions (PBE).

Structure:
Cell: 8.573 8.573 8.573 Å, 90.00 90.00 90.00°
Space group Fm-3m (No. 225)
Asymmetric unit:
Sr 0.250 0.250 0.250 x8
Ce 0.000 0.000 0.000 x4
Hf 0.000 0.000 0.500 x4
O 0.000 0.000 0.258 x24

Main lines, in order of rising 2θ (10 to 90 degrees two-theta):
2θ (°), I (rel.), h k l
17.92, 2, 1 1 1
20.72, 17, 2 0 0
29.47, 100, 2 2 0
42.17, 31, 4 0 0
47.43, 7, 4 2 0
52.28, 41, 4 2 2
61.16, 19, 4 4 0
65.31, 3, 6 0 0
69.33, 18, 6 2 0
77.08, 6, 4 4 4
80.86, 1, 6 4 0
84.59, 22, 6 4 2